# 1
Simulated powder XRD pattern of Hf6Al16Os7 for λ = 1.5418 Å (Cu Kα), from DFT lattice parameters and positions (GGA-PBE).

Principal peaks in the range 2θ from 15° to 90°, in order of rising 2θ:
d 4.356, rel. 18
d 3.080, rel. 84
d 2.826, rel. 25
d 2.515, rel. 25
d 2.371, rel. 31
d 2.178, rel. 100
d 1.377, rel. 19
d 1.257, rel. 18

Atomic structure:
Unit cell a=8.7112 b=8.7112 c=8.7112 alpha=60.00 beta=60.00 gamma=60.00
Fractional coordinates of all 29 atoms:
Hf 0.2066 0.2066 0.7934
Hf 0.2066 0.7934 0.2066
Hf 0.2066 0.7934 0.7934
Hf 0.7934 0.2066 0.2066
Hf 0.7934 0.2066 0.7934
Hf 0.7934 0.7934 0.2066
Al 0.1395 0.6202 0.6202
Al 0.1628 0.1628 0.1628
Al 0.1628 0.1628 0.5115
Al 0.1628 0.5115 0.1628
Al 0.3798 0.3798 0.3798
Al 0.3798 0.3798 0.8605
Al 0.3798 0.8605 0.3798
Al 0.4885 0.8372 0.8372
Al 0.5115 0.1628 0.1628
Al 0.6202 0.1395 0.6202
Al 0.6202 0.6202 0.1395
Al 0.6202 0.6202 0.6202
Al 0.8372 0.4885 0.8372
Al 0.8372 0.8372 0.4885
Al 0.8372 0.8372 0.8372
Al 0.8605 0.3798 0.3798
Os 0.0000 0.0000 0.5000
Os 0.0000 0.5000 0.0000
Os 0.0000 0.5000 0.5000
Os 0.5000 0.0000 0.0000
Os 0.5000 0.0000 0.5000
Os 0.5000 0.5000 0.0000
Os 0.5000 0.5000 0.5000



# 2
Simulated powder XRD pattern of Hf2AlPd4 for λ = 1.5418 Å (Cu Kα), from DFT lattice parameters and positions (GGA-PBE).

Principal peaks in the range 2θ from 15° to 90°, in order of rising 2θ:
d 3.194, rel. 40
d 2.890, rel. 51
d 2.328, rel. 100
d 2.258, rel. 63
d 1.621, rel. 21
d 1.599, rel. 18
d 1.597, rel. 21
d 1.317, rel. 27

Atomic structure:
Unit cell a=7.5103 b=7.5103 c=7.5103 alpha=145.01 beta=145.01 gamma=50.32
Fractional coordinates of all 7 atoms:
Hf 0.1324 0.1324 0.0000
Hf 0.8676 0.8676 0.0000
Al 0.5000 0.5000 0.0000
Pd 0.0000 0.5000 0.5000
Pd 0.3184 0.3184 0.0000
Pd 0.5000 0.0000 0.5000
Pd 0.6816 0.6816 0.0000



# 3
Simulated powder XRD pattern of HfAl3Pd4 for λ = 1.5418 Å (Cu Kα), from DFT lattice parameters and positions (GGA-PBE).

Principal peaks in the range 2θ from 15° to 90°, in order of rising 2θ:
d 3.626, rel. 21
d 3.150, rel. 17
d 2.895, rel. 17
d 2.238, rel. 97
d 2.217, rel. 100
d 1.575, rel. 32
d 1.284, rel. 32
d 1.280, rel. 17

Atomic structure:
Unit cell a=7.7760 b=7.7760 c=7.7760 alpha=33.13 beta=33.13 gamma=33.13
Fractional coordinates of all 8 atoms:
Hf 0.0000 0.0000 0.0000
Al 0.2501 0.2501 0.2501
Al 0.5000 0.5000 0.5000
Al 0.7499 0.7499 0.7499
Pd 0.1276 0.1276 0.1276
Pd 0.3832 0.3832 0.3832
Pd 0.6168 0.6168 0.6168
Pd 0.8724 0.8724 0.8724



# 4
Simulated powder XRD pattern of HfAl2Pd8 for λ = 1.5418 Å (Cu Kα), from DFT lattice parameters and positions (GGA-PBE).

Principal peaks in the range 2θ from 15° to 90°, in order of rising 2θ:
d 3.041, rel. 24
d 2.316, rel. 24
d 2.281, rel. 18
d 2.222, rel. 100
d 2.063, rel. 21
d 2.019, rel. 22
d 1.443, rel. 13
d 1.201, rel. 13

Atomic structure:
Unit cell a=7.3815 b=7.3815 c=7.3815 alpha=148.26 beta=123.72 gamma=66.07
Fractional coordinates of all 11 atoms:
Hf 0.0000 0.0000 0.0000
Al 0.3134 0.3134 0.0000
Al 0.6866 0.6866 0.0000
Pd 0.1160 0.8355 0.2806
Pd 0.1486 0.6486 0.5000
Pd 0.3005 0.5000 0.8005
Pd 0.4451 0.1645 0.2806
Pd 0.5549 0.8355 0.7194
Pd 0.6995 0.5000 0.1995
Pd 0.8514 0.3514 0.5000
Pd 0.8840 0.1645 0.7194